PrNdNi2Bi4: computed powder XRD pattern (Cu Kα (λ = 1.5418 Å)), based on a DFT-relaxed cell (PBE, OQMD).

Peak list (6 most intense, 10° ≤ 2θ ≤ 80°, low angle first)
2θ/deg  I (rel.)
27.50  30.8
28.98  56.9
33.16  100.0
39.22  62.7
48.57  25.3
67.26  26.2

Structural model:
abc: 4.5941 4.5941 9.7283
angles: 90.00 90.00 90.00
Element x y z (fractional)
Pr 0.0000 0.0000 0.0000
Nd 0.5000 0.5000 0.4563
Ni 0.0000 0.5000 0.2297
Ni 0.5000 0.0000 0.2297
Bi 0.0000 0.0000 0.3720
Bi 0.0000 0.5000 0.7273
Bi 0.5000 0.0000 0.7273
Bi 0.5000 0.5000 0.0871



Lu3Sn7: computed powder XRD pattern (Cu Kα (λ = 1.5418 Å)), based on a DFT-relaxed cell (PBE, OQMD).

Peak list (6 most intense, 10° ≤ 2θ ≤ 80°, low angle first)
2θ/deg  I (rel.)
33.35  100.0
35.25  18.4
40.14  16.0
40.52  15.6
68.64  13.0
69.16  12.7

Structural model:
abc: 12.9245 12.9245 4.4928
angles: 90.00 90.00 160.16
Element x y z (fractional)
Lu 0.0000 0.0000 0.0000
Lu 0.1882 0.8118 0.0000
Lu 0.8118 0.1882 0.0000
Sn 0.0974 0.9026 0.5000
Sn 0.2909 0.7091 0.5000
Sn 0.4035 0.5965 0.0000
Sn 0.5000 0.5000 0.5000
Sn 0.5965 0.4035 0.0000
Sn 0.7091 0.2909 0.5000
Sn 0.9026 0.0974 0.5000